# 1
Structure and computed XRD peak list of Ba8PdRhAu2 (the GGA-PBE geometry in Alexandria; copper Kα).
Neutral-atom scattering factors, no anomalous dispersion.

```
data_Ba8PdRhAu2
_cell_length_a 7.589
_cell_length_b 9.471
_cell_length_c 7.786
_cell_angle_alpha 90.00
_cell_angle_beta 90.39
_cell_angle_gamma 90.00
_symmetry_space_group_name_H-M 'P 1 2/m 1'
_symmetry_Int_Tables_number 10
_symmetry_space_group_name_Hall '-P 2y'
loop_
_atom_site_label
_atom_site_type_symbol
_atom_site_fract_x
_atom_site_fract_y
_atom_site_fract_z
Ba1 Ba 0.219 0.243 0.332
Ba2 Ba 0.256 0.000 0.813
Ba3 Ba 0.265 0.500 0.820
Pd1 Pd 0.000 0.500 0.500
Rh1 Rh 0.000 0.000 0.500
Au1 Au 0.500 0.248 0.000
```

Main lines, most intense first (10° ≤ 2θ ≤ 80°):
- 24.96°, I = 100
- 39.60°, I = 43
- 32.29°, I = 39
- 16.26°, I = 37
- 16.37°, I = 30
- 25.65°, I = 28
- 32.41°, I = 26
- 38.00°, I = 25
- 33.08°, I = 24
- 32.85°, I = 17


# 2
Structure and computed XRD peak list of BaPrSn2Au2 (the GGA-PBE geometry in Alexandria; copper Kα).
Neutral-atom scattering factors, no anomalous dispersion.

```
data_BaPrSn2Au2
_cell_length_a 4.8594
_cell_length_b 4.8594
_cell_length_c 8.4869
_cell_angle_alpha 90.00
_cell_angle_beta 90.00
_cell_angle_gamma 120.00
_symmetry_space_group_name_H-M 'P -3 m 1'
_symmetry_Int_Tables_number 164
_symmetry_space_group_name_Hall '-P 3 2"'
loop_
_atom_site_label
_atom_site_type_symbol
_atom_site_fract_x
_atom_site_fract_y
_atom_site_fract_z
Ba1 Ba 0.0000 0.0000 0.0000
Pr1 Pr 0.0000 0.0000 0.5000
Sn1 Sn 0.3333 0.6667 0.7158
Au1 Au 0.3333 0.6667 0.3050
```

Main lines, most intense first (10° ≤ 2θ ≤ 80°):
- 29.90°, I = 100
- 37.00°, I = 78
- 48.28°, I = 27
- 62.34°, I = 25
- 10.42°, I = 23
- 49.45°, I = 19
- 66.67°, I = 14
- 57.68°, I = 13
- 67.29°, I = 13
- 23.60°, I = 12